This entry pairs a crystal structure of Y3InPt8 with its theoretical X-ray diffraction stick pattern. Radiation: copper Kα. Structure: a cell relaxed with PBE.

Structural model:
Cell: 9.4002 9.4002 9.4002 Å, 33.61 33.61 33.61°
Sites, in units of the cell vectors:
Y  0.0000  0.0000  0.0000
Y  0.1283  0.1283  0.1283
Y  0.5121  0.5121  0.5121
In  0.6370  0.6370  0.6370
Pt  0.0674  0.0674  0.5639
Pt  0.0674  0.5639  0.0674
Pt  0.0701  0.5677  0.5677
Pt  0.3170  0.3170  0.3170
Pt  0.5639  0.0674  0.0674
Pt  0.5677  0.0701  0.5677
Pt  0.5677  0.5677  0.0701
Pt  0.8171  0.8171  0.8171

Largest 10 diffraction maxima, in order of falling intensity, 10° ≤ 2θ ≤ 80°:
- d = 2.316 Å, I = 100
- d = 2.218 Å, I = 65
- d = 4.435 Å, I = 39
- d = 1.358 Å, I = 31
- d = 1.479 Å, I = 30
- d = 1.921 Å, I = 18
- d = 1.762 Å, I = 11
- d = 2.716 Å, I = 11
- d = 1.299 Å, I = 6
- d = 1.568 Å, I = 4